For TbNd6Dy8, a cell relaxed with PBE gives the theoretical powder XRD pattern in this record (Cu Ka).
Neutral-atom scattering factors, no anomalous dispersion.

Peak list (10 most intense, 2θ = 15–90°, in order of rising 2θ)
h k l  2θ (°)  Rel. int.
0 2 1  25.73  27
2 1 0  28.94  32
0 1 2  29.44  25
2 1 1  32.08  100
3 0 0  32.91  23
2 -1 2  33.36  55
5 -3 1  50.71  18
1 4 0  51.30  22
0 4 2  52.89  11
2 4 1  61.78  12

Crystal structure
Cell lengths 9.4267, 9.4267, 6.5359 Å; angles 90.00, 90.00, 120.00 degrees
Sites, in units of the cell vectors:
Tb: 0.0000 0.0000 0.0000
Nd: 0.0344 0.2873 0.6665
Nd: 0.2529 0.9656 0.6665
Nd: 0.2873 0.2529 0.3335
Nd: 0.7127 0.7471 0.6665
Nd: 0.7471 0.0344 0.3335
Nd: 0.9656 0.7127 0.3335
Dy: 0.0943 0.4396 0.1594
Dy: 0.3333 0.6667 0.6218
Dy: 0.3453 0.9057 0.1594
Dy: 0.4396 0.3453 0.8406
Dy: 0.5604 0.6547 0.1594
Dy: 0.6547 0.0943 0.8406
Dy: 0.6667 0.3333 0.3782
Dy: 0.9057 0.5604 0.8406